Entry 1:
For Li3Mn2P3O12, a crystal structure in the Materials Project, relaxed with GGA+U gives the theoretical XRD peak list in this record (a wavelength of 1.5418 Å).
Intensities are scaled so that the largest is 100.

Cell and atoms:
Lattice parameters (Å, degrees): 14.0419 8.8560 9.0745 90.00 125.20 90.00
Space group C2/c (No. 15)
Symmetry-distinct sites (fractional):
Li: 0.1888 0.0244 0.1212 (multiplicity 8)
Li: 0.2500 0.2500 0.5000 (multiplicity 4)
Mn: 0.1110 0.2598 0.6583 (multiplicity 8)
P: 0.0000 0.0337 0.2500 (multiplicity 4)
P: 0.1560 0.4136 0.0361 (multiplicity 8)
O: 0.0311 0.3621 0.9535 (multiplicity 8)
O: 0.0590 0.0686 0.6830 (multiplicity 8)
O: 0.0964 0.1269 0.4112 (multiplicity 8)
O: 0.1755 0.4143 0.5856 (multiplicity 8)
O: 0.1934 0.3872 0.9102 (multiplicity 8)
O: 0.2334 0.3290 0.2230 (multiplicity 8)

Top 10 peaks for 5 to 70 degrees two-theta, in order of rising 2θ:
2θ/deg, Rel. int.
14.00, 81
20.27, 82
21.52, 93
22.85, 100
23.96, 77
25.37, 88
28.21, 67
31.34, 79
33.14, 43
35.23, 46

Entry 2:
For Mo2C4NO7, a crystal structure in the Materials Project, relaxed with GGA+U gives the theoretical XRD peak list in this record (a wavelength of 1.5418 Å).
Intensities are scaled so that the largest is 100.

Cell and atoms:
Lattice parameters (Å, degrees): 9.3575 9.6858 11.2417 83.26 87.73 71.18
Space group P-1 (No. 2)
Symmetry-distinct sites (fractional):
Mo: 0.0363 0.3032 0.2344 (multiplicity 2)
Mo: 0.1393 0.2171 0.9471 (multiplicity 2)
Mo: 0.1878 0.5165 0.0259 (multiplicity 2)
Mo: 0.2829 0.4055 0.7570 (multiplicity 2)
C: 0.1406 0.7322 0.3534 (multiplicity 2)
C: 0.2458 0.6507 0.2671 (multiplicity 2)
C: 0.3081 0.7378 0.4221 (multiplicity 2)
C: 0.3281 0.8962 0.0028 (multiplicity 2)
C: 0.3728 0.6573 0.3210 (multiplicity 2)
C: 0.4191 0.8432 0.8005 (multiplicity 2)
C: 0.4411 0.1588 0.3964 (multiplicity 2)
C: 0.4883 0.8227 0.7023 (multiplicity 2)
N: 0.1567 0.7861 0.4528 (multiplicity 2)
N: 0.3461 0.8690 0.8935 (multiplicity 2)
O: 0.0522 0.7105 0.9522 (multiplicity 2)
O: 0.0780 0.1279 0.8478 (multiplicity 2)
O: 0.0874 0.4394 0.8899 (multiplicity 2)
O: 0.0901 0.1190 0.2814 (multiplicity 2)
O: 0.1026 0.3814 0.3410 (multiplicity 2)
O: 0.1831 0.6123 0.7371 (multiplicity 2)
O: 0.1950 0.3180 0.1101 (multiplicity 2)
O: 0.2037 0.3498 0.6461 (multiplicity 2)
O: 0.2109 0.6033 0.1727 (multiplicity 2)
O: 0.2571 0.0046 0.0531 (multiplicity 2)
O: 0.3325 0.2332 0.8726 (multiplicity 2)
O: 0.3576 0.4931 0.9516 (multiplicity 2)
O: 0.3757 0.1432 0.4850 (multiplicity 2)
O: 0.4805 0.3892 0.7039 (multiplicity 2)

Top 10 peaks for 5 to 70 degrees two-theta, in order of rising 2θ:
2θ/deg, Rel. int.
7.92, 100
9.71, 55
9.99, 33
11.49, 29
12.75, 26
13.33, 31
21.30, 11
25.17, 14
26.60, 18
31.80, 11

> Number 2 is which compound?

Mo2C4NO7